Entry 1:
This entry pairs a crystal structure of GdZrH with its calculated X-ray diffraction stick pattern. Radiation: CuKα. Structure: a PBE-relaxed structure.
Lines closer than 0.1° are merged.

Atomic structure:
a b c (Å): 3.3911 3.3911 34.6129
angles (deg): 90.00 90.00 120.00
Space group R-3m (No. 166, hexagonal axes)
Symmetry-distinct sites (fractional):
Gd1 0.0000 0.0000 0.2112
Zr1 0.0000 0.0000 0.3711
H1 0.0000 0.0000 0.2760

Peak list (12 most intense, 5° ≤ 2θ ≤ 70°, in order of rising 2θ)
two_theta  intensity
7.66  18.7
30.88  57.0
31.00  53.8
33.14  94.5
35.55  100.0
48.11  26.7
54.09  35.4
54.87  14.9
59.73  24.8
63.65  47.3
64.92  13.4
66.41  16.0


Entry 2:
This entry pairs a crystal structure of PrTl2AsS4 with its calculated X-ray diffraction stick pattern. Radiation: CuKα. Structure: a PBE-relaxed structure.
Lines closer than 0.1° are merged.

Atomic structure:
a b c (Å): 8.2263 8.5351 11.8610
angles (deg): 90.00 90.00 90.00
Space group Imma (No. 74)
Symmetry-distinct sites (fractional):
Pr1 0.0000 0.0000 0.0000
Tl1 0.0000 0.0000 0.5000
Tl2 0.2500 0.2500 0.2500
As1 0.2500 0.2500 0.7500
S1 0.0000 0.0448 0.7590
S2 0.2287 0.2500 0.9743

Peak list (12 most intense, 5° ≤ 2θ ≤ 70°, in order of rising 2θ)
two_theta  intensity
25.72  44.2
26.37  40.3
30.16  100.0
42.36  12.2
43.17  47.7
44.03  11.8
50.59  16.8
51.27  8.8
51.69  14.7
52.86  12.3
54.28  12.3
62.72  11.1


Entry 3:
This entry pairs a crystal structure of PaBr4 with its calculated X-ray diffraction stick pattern. Radiation: CuKα. Structure: a PBE-relaxed structure.
Lines closer than 0.1° are merged.

Atomic structure:
a b c (Å): 8.9112 8.9112 8.2587
angles (deg): 90.00 90.00 90.00
Space group I4_1/amd (No. 141, origin choice 2)
Symmetry-distinct sites (fractional):
Pa1 0.0000 0.2500 0.3750
Br1 0.0000 0.0625 0.6941

Peak list (12 most intense, 5° ≤ 2θ ≤ 70°, in order of rising 2θ)
two_theta  intensity
14.62  100.0
19.93  76.9
25.80  22.4
29.49  36.9
32.02  82.6
34.09  60.4
38.00  55.5
38.68  61.9
40.49  25.8
48.63  45.3
52.53  30.0
65.06  19.3